# 1
For TmRh2, the GGA-PBE geometry in the Materials Project gives the simulated powder XRD pattern in this record (Cu Kα (weighted mean of Kα1 and Kα2)).
Peak positions follow from Bragg's law for the DFT cell and can differ from measured ones.

Crystal structure
```
data_TmRh2
_space_group_name_H-M_alt 'P 1'
_space_group_IT_number 1
_cell_length_a 5.3137
_cell_length_b 5.3137
_cell_length_c 5.3137
_cell_angle_alpha 60.00
_cell_angle_beta 60.00
_cell_angle_gamma 60.00
loop_
_space_group_symop_operation_xyz
'x,y,z'
loop_
_atom_site_label
_atom_site_fract_x
_atom_site_fract_y
_atom_site_fract_z
Tm1 0.1250 0.1250 0.1250
Tm2 0.8750 0.8750 0.8750
Rh1 0.0000 0.5000 0.5000
Rh2 0.5000 0.0000 0.5000
Rh3 0.5000 0.5000 0.0000
Rh4 0.5000 0.5000 0.5000
```

Main lines, low angle first (2θ = 10–90°):
- 2θ = 33.7°, d = 2.657 Å, I 44
- 2θ = 39.8°, d = 2.266 Å, I 100
- 2θ = 41.6°, d = 2.169 Å, I 26
- 2θ = 60.3°, d = 1.534 Å, I 17
- 2θ = 64.4°, d = 1.446 Å, I 32
- 2θ = 70.9°, d = 1.328 Å, I 26
- 2θ = 84.6°, d = 1.146 Å, I 11
- 2θ = 85.8°, d = 1.133 Å, I 9

---

# 2
For Dy2Al3Si2, the GGA-PBE geometry in the Materials Project gives the simulated powder XRD pattern in this record (Cu Kα (weighted mean of Kα1 and Kα2)).
Peak positions follow from Bragg's law for the DFT cell and can differ from measured ones.

Crystal structure
```
data_Dy2Al3Si2
_space_group_name_H-M_alt 'P 1'
_space_group_IT_number 1
_cell_length_a 5.4946
_cell_length_b 5.4946
_cell_length_c 6.6294
_cell_angle_alpha 100.25
_cell_angle_beta 100.25
_cell_angle_gamma 43.14
loop_
_space_group_symop_operation_xyz
'x,y,z'
loop_
_atom_site_label
_atom_site_fract_x
_atom_site_fract_y
_atom_site_fract_z
Dy1 0.1198 0.1198 0.3227
Dy2 0.8802 0.8802 0.6773
Al1 0.1946 0.1946 0.8665
Al2 0.5000 0.5000 0.0000
Al3 0.8054 0.8054 0.1335
Si1 0.4070 0.4070 0.3598
Si2 0.5930 0.5930 0.6402
```

Main lines, low angle first (2θ = 10–90°):
- 2θ = 20.2°, d = 4.400 Å, I 42
- 2θ = 23.7°, d = 3.748 Å, I 48
- 2θ = 24.4°, d = 3.649 Å, I 43
- 2θ = 28.3°, d = 3.152 Å, I 74
- 2θ = 34.8°, d = 2.576 Å, I 42
- 2θ = 35.2°, d = 2.549 Å, I 100
- 2θ = 35.5°, d = 2.526 Å, I 54
- 2θ = 35.8°, d = 2.507 Å, I 44

---

# 3
For BaSrCeTiO6, the GGA-PBE geometry in the Materials Project gives the simulated powder XRD pattern in this record (Cu Kα (weighted mean of Kα1 and Kα2)).
Peak positions follow from Bragg's law for the DFT cell and can differ from measured ones.

Crystal structure
```
data_BaSrCeTiO6
_space_group_name_H-M_alt 'P 1'
_space_group_IT_number 1
_cell_length_a 5.9364
_cell_length_b 5.9633
_cell_length_c 8.3994
_cell_angle_alpha 90.15
_cell_angle_beta 90.20
_cell_angle_gamma 90.25
loop_
_space_group_symop_operation_xyz
'x,y,z'
loop_
_atom_site_label
_atom_site_fract_x
_atom_site_fract_y
_atom_site_fract_z
Ba1 0.0102 0.0036 0.2496
Ba2 0.9898 0.9964 0.7504
Sr1 0.4846 0.4992 0.7478
Sr2 0.5154 0.5008 0.2522
Ce1 0.0000 0.5000 0.0000
Ce2 0.5000 0.0000 0.5000
Ti1 0.0000 0.5000 0.5000
Ti2 0.5000 0.0000 0.0000
O1 0.0148 0.4562 0.7350
O2 0.2180 0.7523 0.5234
O3 0.2463 0.7839 0.9741
O4 0.2620 0.2907 0.4716
O5 0.2883 0.2583 0.0320
O6 0.4991 0.0628 0.7650
O7 0.5009 0.9372 0.2350
O8 0.7117 0.7417 0.9680
O9 0.7380 0.7093 0.5284
O10 0.7537 0.2161 0.0259
O11 0.7820 0.2477 0.4766
O12 0.9852 0.5438 0.2650
```

Main lines, low angle first (2θ = 10–90°):
- 2θ = 30.0°, d = 2.977 Å, I 100
- 2θ = 30.1°, d = 2.965 Å, I 49
- 2θ = 42.9°, d = 2.108 Å, I 16
- 2θ = 43.1°, d = 2.099 Å, I 31
- 2θ = 53.2°, d = 1.721 Å, I 16
- 2θ = 53.3°, d = 1.718 Å, I 16
- 2θ = 53.4°, d = 1.715 Å, I 20
- 2θ = 62.4°, d = 1.488 Å, I 14

---

# 4
For KLiNb4O12, the GGA-PBE geometry in the Materials Project gives the simulated powder XRD pattern in this record (Cu Kα (weighted mean of Kα1 and Kα2)).
Peak positions follow from Bragg's law for the DFT cell and can differ from measured ones.

Crystal structure
```
data_KLiNb4O12
_space_group_name_H-M_alt 'P 1'
_space_group_IT_number 1
_cell_length_a 5.6633
_cell_length_b 5.6633
_cell_length_c 8.0126
_cell_angle_alpha 90.00
_cell_angle_beta 90.00
_cell_angle_gamma 90.00
loop_
_space_group_symop_operation_xyz
'x,y,z'
loop_
_atom_site_label
_atom_site_fract_x
_atom_site_fract_y
_atom_site_fract_z
K1 0.0000 0.0000 0.0000
Li1 0.5000 0.5000 0.5000
Nb1 0.0000 0.5000 0.2522
Nb2 0.0000 0.5000 0.7478
Nb3 0.5000 0.0000 0.2522
Nb4 0.5000 0.0000 0.7478
O1 0.0000 0.5000 0.0000
O2 0.0000 0.5000 0.5000
O3 0.2531 0.2531 0.2541
O4 0.2531 0.2531 0.7459
O5 0.2531 0.7469 0.2541
O6 0.2531 0.7469 0.7459
O7 0.5000 0.0000 0.0000
O8 0.5000 0.0000 0.5000
O9 0.7469 0.2531 0.2541
O10 0.7469 0.2531 0.7459
O11 0.7469 0.7469 0.2541
O12 0.7469 0.7469 0.7459
```

Main lines, low angle first (2θ = 10–90°):
- 2θ = 22.2°, d = 4.005 Å, I 100
- 2θ = 31.6°, d = 2.832 Å, I 63
- 2θ = 45.3°, d = 2.003 Å, I 32
- 2θ = 51.0°, d = 1.791 Å, I 38
- 2θ = 56.3°, d = 1.635 Å, I 25
- 2θ = 66.0°, d = 1.416 Å, I 18
- 2θ = 70.5°, d = 1.335 Å, I 17
- 2θ = 75.0°, d = 1.267 Å, I 11

---

# 5
For GaO2, the GGA-PBE geometry in the Materials Project gives the simulated powder XRD pattern in this record (Cu Kα (weighted mean of Kα1 and Kα2)).
Peak positions follow from Bragg's law for the DFT cell and can differ from measured ones.

Crystal structure
```
data_GaO2
_space_group_name_H-M_alt 'P 1'
_space_group_IT_number 1
_cell_length_a 10.0218
_cell_length_b 3.0520
_cell_length_c 4.1934
_cell_angle_alpha 90.00
_cell_angle_beta 90.00
_cell_angle_gamma 90.00
loop_
_space_group_symop_operation_xyz
'x,y,z'
loop_
_atom_site_label
_atom_site_fract_x
_atom_site_fract_y
_atom_site_fract_z
Ga1 0.1345 0.2500 0.0784
Ga2 0.3655 0.7500 0.5784
Ga3 0.6345 0.2500 0.4216
Ga4 0.8655 0.7500 0.9216
O1 0.0614 0.7500 0.8054
O2 0.1930 0.7500 0.3484
O3 0.3070 0.2500 0.8484
O4 0.4386 0.2500 0.3054
O5 0.5614 0.7500 0.6946
O6 0.6930 0.7500 0.1516
O7 0.8070 0.2500 0.6516
O8 0.9386 0.2500 0.1946
```

Main lines, low angle first (2θ = 10–90°):
- 2θ = 23.0°, d = 3.868 Å, I 100
- 2θ = 27.7°, d = 3.216 Å, I 32
- 2θ = 34.4°, d = 2.609 Å, I 76
- 2θ = 35.8°, d = 2.505 Å, I 37
- 2θ = 37.5°, d = 2.396 Å, I 84
- 2θ = 53.8°, d = 1.703 Å, I 27
- 2θ = 59.4°, d = 1.556 Å, I 28
- 2θ = 63.5°, d = 1.465 Å, I 23

---

# 6
For Na7Cu3O8, the GGA-PBE geometry in the Materials Project gives the simulated powder XRD pattern in this record (Cu Kα (weighted mean of Kα1 and Kα2)).
Peak positions follow from Bragg's law for the DFT cell and can differ from measured ones.

Crystal structure
```
data_Na7Cu3O8
_space_group_name_H-M_alt 'P 1'
_space_group_IT_number 1
_cell_length_a 5.5107
_cell_length_b 6.5304
_cell_length_c 7.4283
_cell_angle_alpha 106.06
_cell_angle_beta 108.56
_cell_angle_gamma 90.21
loop_
_space_group_symop_operation_xyz
'x,y,z'
loop_
_atom_site_label
_atom_site_fract_x
_atom_site_fract_y
_atom_site_fract_z
Na1 0.0000 0.0000 0.0000
Na2 0.2367 0.3934 0.4571
Na3 0.2717 0.4159 0.8854
Na4 0.4381 0.8394 0.7783
Na5 0.5619 0.1606 0.2217
Na6 0.7283 0.5841 0.1146
Na7 0.7633 0.6066 0.5429
Cu1 0.0000 0.0000 0.5000
Cu2 0.2733 0.7586 0.2667
Cu3 0.7267 0.2414 0.7333
O1 0.1054 0.7243 0.4469
O2 0.1513 0.0293 0.3187
O3 0.3767 0.8091 0.0699
O4 0.3984 0.4968 0.2397
O5 0.6016 0.5032 0.7603
O6 0.6233 0.1909 0.9301
O7 0.8487 0.9707 0.6813
O8 0.8946 0.2757 0.5531
```

Main lines, low angle first (2θ = 10–90°):
- 2θ = 16.3°, d = 5.442 Å, I 85
- 2θ = 23.3°, d = 3.810 Å, I 86
- 2θ = 24.9°, d = 3.579 Å, I 100
- 2θ = 32.9°, d = 2.723 Å, I 63
- 2θ = 35.0°, d = 2.564 Å, I 32
- 2θ = 36.3°, d = 2.475 Å, I 41
- 2θ = 43.3°, d = 2.090 Å, I 39
- 2θ = 45.3°, d = 2.003 Å, I 55

---

# 7
For Ni17S18, the GGA-PBE geometry in the Materials Project gives the simulated powder XRD pattern in this record (Cu Kα (weighted mean of Kα1 and Kα2)).
Peak positions follow from Bragg's law for the DFT cell and can differ from measured ones.

Crystal structure
```
data_Ni17S18
_space_group_name_H-M_alt 'P 1'
_space_group_IT_number 1
_cell_length_a 7.8728
_cell_length_b 7.8728
_cell_length_c 7.8728
_cell_angle_alpha 81.73
_cell_angle_beta 81.73
_cell_angle_gamma 81.73
loop_
_space_group_symop_operation_xyz
'x,y,z'
loop_
_atom_site_label
_atom_site_fract_x
_atom_site_fract_y
_atom_site_fract_z
Ni1 0.0000 0.0000 0.0000
Ni2 0.0000 0.3247 0.6753
Ni3 0.0000 0.6753 0.3247
Ni4 0.1742 0.1742 0.1742
Ni5 0.1778 0.5000 0.8222
Ni6 0.1778 0.8222 0.5000
Ni7 0.3247 0.0000 0.6753
Ni8 0.3247 0.6753 0.0000
Ni9 0.3465 0.3465 0.3465
Ni10 0.5000 0.1778 0.8222
Ni11 0.5000 0.8222 0.1778
Ni12 0.6535 0.6535 0.6535
Ni13 0.6753 0.0000 0.3247
Ni14 0.6753 0.3247 0.0000
Ni15 0.8222 0.1778 0.5000
Ni16 0.8222 0.5000 0.1778
Ni17 0.8258 0.8258 0.8258
S1 0.0208 0.0208 0.6949
S2 0.0208 0.6949 0.0208
S3 0.0310 0.3650 0.3650
S4 0.2998 0.2998 0.6398
S5 0.2998 0.6398 0.2998
S6 0.3051 0.9792 0.9792
S7 0.3602 0.7002 0.7002
S8 0.3650 0.0310 0.3650
S9 0.3650 0.3650 0.0310
S10 0.6350 0.6350 0.9690
S11 0.6350 0.9690 0.6350
S12 0.6398 0.2998 0.2998
S13 0.6949 0.0208 0.0208
S14 0.7002 0.3602 0.7002
S15 0.7002 0.7002 0.3602
S16 0.9690 0.6350 0.6350
S17 0.9792 0.3051 0.9792
S18 0.9792 0.9792 0.3051
```

Main lines, low angle first (2θ = 10–90°):
- 2θ = 30.0°, d = 2.974 Å, I 60
- 2θ = 34.8°, d = 2.577 Å, I 39
- 2θ = 46.6°, d = 1.948 Å, I 100
- 2θ = 53.4°, d = 1.717 Å, I 48
- 2θ = 62.4°, d = 1.488 Å, I 11
- 2θ = 65.3°, d = 1.429 Å, I 9
- 2θ = 73.5°, d = 1.288 Å, I 28
- 2θ = 86.6°, d = 1.124 Å, I 6